Diffraction record for Ba4Pa3CdN8. The powder diffraction line list is computed, not measured: it uses a crystal structure in Alexandria, relaxed with PBE and Cu Kα, 1.54184 Å.
Lines closer than 0.1° are merged.

Atomic structure:
Lattice parameters (Å, degrees): 7.6732 7.6732 7.6732 56.72 56.72 56.72
Atoms (fractional coordinates):
1 Ba 0.0000 0.0000 0.0000
2 Ba 0.0000 0.5000 0.5000
3 Ba 0.5000 0.0000 0.5000
4 Ba 0.5000 0.5000 0.0000
5 Pa 0.0000 0.0000 0.5000
6 Pa 0.0000 0.5000 0.0000
7 Pa 0.5000 0.0000 0.0000
8 Cd 0.5000 0.5000 0.5000
9 N 0.1942 0.7456 0.7456
10 N 0.2268 0.2268 0.2268
11 N 0.2544 0.2544 0.8058
12 N 0.2544 0.8058 0.2544
13 N 0.7456 0.1942 0.7456
14 N 0.7456 0.7456 0.1942
15 N 0.7732 0.7732 0.7732
16 N 0.8058 0.2544 0.2544

Top 10 peaks for 10 to 80 degrees two-theta, in order of falling intensity:
| 2theta | d/Å | I/Imax |
| --- | --- | --- |
| 29.79 | 2.999 | 1000 |
| 33.97 | 2.639 | 959 |
| 27.81 | 3.208 | 415 |
| 47.52 | 1.913 | 350 |
| 58.23 | 1.585 | 333 |
| 50.05 | 1.822 | 319 |
| 55.95 | 1.643 | 201 |
| 61.87 | 1.500 | 170 |
| 59.34 | 1.557 | 153 |
| 79.63 | 1.204 | 147 |

***

Diffraction record for Ba5NaCd2. The powder diffraction line list is computed, not measured: it uses a crystal structure in Alexandria, relaxed with PBE and Cu Kα, 1.54184 Å.
Lines closer than 0.1° are merged.

Atomic structure:
Lattice parameters (Å, degrees): 10.7855 10.7855 10.7855 126.41 126.41 79.21
Atoms (fractional coordinates):
1 Ba 0.0000 0.0000 0.0000
2 Ba 0.0217 0.5217 0.8174
3 Ba 0.2044 0.0217 0.5000
4 Ba 0.2956 0.7956 0.8174
5 Ba 0.4783 0.2956 0.5000
6 Ba 0.5000 0.5000 0.0000
7 Ba 0.5217 0.7044 0.5000
8 Ba 0.7044 0.2044 0.1826
9 Ba 0.7956 0.9783 0.5000
10 Ba 0.9783 0.4783 0.1826
11 Na 0.2500 0.2500 0.0000
12 Na 0.7500 0.7500 0.0000
13 Cd 0.1294 0.3706 0.5000
14 Cd 0.3706 0.8706 0.2413
15 Cd 0.6294 0.1294 0.7587
16 Cd 0.8706 0.6294 0.5000

Top 10 peaks for 10 to 80 degrees two-theta, in order of falling intensity:
| 2theta | d/Å | I/Imax |
| --- | --- | --- |
| 26.05 | 3.421 | 1000 |
| 29.04 | 3.075 | 459 |
| 10.65 | 8.310 | 248 |
| 33.95 | 2.641 | 208 |
| 28.25 | 3.159 | 193 |
| 53.23 | 1.721 | 185 |
| 53.37 | 1.717 | 172 |
| 41.59 | 2.171 | 151 |
| 37.03 | 2.428 | 135 |
| 44.00 | 2.058 | 114 |

***

Diffraction record for Ba2NaCd7. The powder diffraction line list is computed, not measured: it uses a crystal structure in Alexandria, relaxed with PBE and Cu Kα, 1.54184 Å.
Lines closer than 0.1° are merged.

Atomic structure:
Lattice parameters (Å, degrees): 4.7966 4.7966 13.1389 90.00 90.00 90.00
Atoms (fractional coordinates):
1 Ba 0.0000 0.5000 0.2396
2 Ba 0.5000 0.0000 0.7604
3 Na 0.0000 0.0000 0.5000
4 Cd 0.0000 0.0000 0.0000
5 Cd 0.0000 0.5000 0.6432
6 Cd 0.0000 0.5000 0.8654
7 Cd 0.5000 0.0000 0.1346
8 Cd 0.5000 0.0000 0.3568
9 Cd 0.5000 0.5000 0.0000
10 Cd 0.5000 0.5000 0.5000

Top 10 peaks for 10 to 80 degrees two-theta, in order of falling intensity:
| 2theta | d/Å | I/Imax |
| --- | --- | --- |
| 29.64 | 3.014 | 1000 |
| 37.50 | 2.398 | 625 |
| 27.58 | 3.234 | 586 |
| 39.09 | 2.305 | 435 |
| 38.14 | 2.360 | 311 |
| 55.28 | 1.662 | 307 |
| 47.18 | 1.926 | 263 |
| 62.88 | 1.478 | 232 |
| 54.08 | 1.696 | 209 |
| 26.28 | 3.392 | 168 |

***

Diffraction record for Ba4NaCd3. The powder diffraction line list is computed, not measured: it uses a crystal structure in Alexandria, relaxed with PBE and Cu Kα, 1.54184 Å.
Lines closer than 0.1° are merged.

Atomic structure:
Lattice parameters (Å, degrees): 4.3412 6.1193 12.2652 90.00 90.00 90.00
Atoms (fractional coordinates):
1 Ba 0.0000 0.0000 0.0000
2 Ba 0.0000 0.0000 0.5000
3 Ba 0.0000 0.5000 0.2349
4 Ba 0.0000 0.5000 0.7651
5 Na 0.5000 0.5000 0.5000
6 Cd 0.5000 0.0000 0.2558
7 Cd 0.5000 0.0000 0.7442
8 Cd 0.5000 0.5000 0.0000

Top 10 peaks for 10 to 80 degrees two-theta, in order of falling intensity:
| 2theta | d/Å | I/Imax |
| --- | --- | --- |
| 29.13 | 3.065 | 1000 |
| 51.62 | 1.771 | 250 |
| 41.67 | 2.167 | 184 |
| 51.71 | 1.768 | 131 |
| 60.37 | 1.533 | 96 |
| 68.47 | 1.370 | 74 |
| 68.35 | 1.373 | 56 |
| 20.49 | 4.335 | 35 |
| 68.55 | 1.369 | 27 |
| 16.19 | 5.476 | 26 |

***

Diffraction record for Ba2NaTl6Cd. The powder diffraction line list is computed, not measured: it uses a crystal structure in Alexandria, relaxed with PBE and Cu Kα, 1.54184 Å.
Lines closer than 0.1° are merged.

Atomic structure:
Lattice parameters (Å, degrees): 8.0446 8.0446 8.0446 60.00 60.00 60.00
Atoms (fractional coordinates):
1 Ba 0.2500 0.2500 0.2500
2 Ba 0.7500 0.7500 0.7500
3 Na 0.0000 0.0000 0.0000
4 Tl 0.2486 0.2486 0.7514
5 Tl 0.2486 0.7514 0.2486
6 Tl 0.2486 0.7514 0.7514
7 Tl 0.7514 0.2486 0.2486
8 Tl 0.7514 0.2486 0.7514
9 Tl 0.7514 0.7514 0.2486
10 Cd 0.5000 0.5000 0.5000

Top 10 peaks for 10 to 80 degrees two-theta, in order of falling intensity:
| 2theta | d/Å | I/Imax |
| --- | --- | --- |
| 27.15 | 3.284 | 1000 |
| 31.45 | 2.844 | 759 |
| 45.08 | 2.011 | 567 |
| 53.42 | 1.715 | 477 |
| 74.61 | 1.272 | 258 |
| 56.00 | 1.642 | 200 |
| 72.42 | 1.305 | 196 |
| 15.58 | 5.688 | 118 |
| 65.65 | 1.422 | 93 |
| 35.28 | 2.544 | 66 |

***

Diffraction record for BaCd9Ni3. The powder diffraction line list is computed, not measured: it uses a crystal structure in Alexandria, relaxed with PBE and Cu Kα, 1.54184 Å.
Lines closer than 0.1° are merged.

Atomic structure:
Lattice parameters (Å, degrees): 7.7874 7.7874 7.1262 96.36 96.36 138.62
Atoms (fractional coordinates):
1 Ba 0.0000 0.0000 0.0000
2 Cd 0.0000 0.0000 0.5000
3 Cd 0.0436 0.6803 0.6729
4 Cd 0.2998 0.5326 0.7768
5 Cd 0.3197 0.9564 0.3271
6 Cd 0.4674 0.7002 0.2232
7 Cd 0.5326 0.2998 0.7768
8 Cd 0.6803 0.0436 0.6729
9 Cd 0.7002 0.4674 0.2232
10 Cd 0.9564 0.3197 0.3271
11 Ni 0.0000 0.5000 0.0000
12 Ni 0.5000 0.0000 0.0000
13 Ni 0.5000 0.5000 0.5000

Top 10 peaks for 10 to 80 degrees two-theta, in order of falling intensity:
| 2theta | d/Å | I/Imax |
| --- | --- | --- |
| 36.24 | 2.479 | 1000 |
| 35.26 | 2.545 | 770 |
| 38.38 | 2.346 | 425 |
| 36.39 | 2.469 | 376 |
| 32.64 | 2.744 | 373 |
| 41.19 | 2.191 | 362 |
| 40.72 | 2.216 | 344 |
| 30.79 | 2.904 | 323 |
| 32.39 | 2.764 | 320 |
| 36.53 | 2.460 | 308 |

***

Diffraction record for Ba2TlCdNi. The powder diffraction line list is computed, not measured: it uses a crystal structure in Alexandria, relaxed with PBE and Cu Kα, 1.54184 Å.
Lines closer than 0.1° are merged.

Atomic structure:
Lattice parameters (Å, degrees): 5.9874 5.9874 5.0472 90.00 90.00 90.00
Atoms (fractional coordinates):
1 Ba 0.0000 0.5000 0.0000
2 Ba 0.5000 0.0000 0.0000
3 Tl 0.0000 0.0000 0.5000
4 Cd 0.5000 0.5000 0.5000
5 Ni 0.0000 0.0000 0.0000

Top 10 peaks for 10 to 80 degrees two-theta, in order of falling intensity:
| 2theta | d/Å | I/Imax |
| --- | --- | --- |
| 27.50 | 3.244 | 1000 |
| 29.85 | 2.994 | 641 |
| 47.10 | 1.930 | 360 |
| 51.55 | 1.773 | 353 |
| 42.71 | 2.117 | 240 |
| 56.76 | 1.622 | 206 |
| 35.57 | 2.524 | 201 |
| 14.80 | 5.987 | 180 |
| 59.08 | 1.564 | 128 |
| 75.61 | 1.258 | 126 |

***

Diffraction record for Ba3NpCd2O8. The powder diffraction line list is computed, not measured: it uses a crystal structure in Alexandria, relaxed with PBE and Cu Kα, 1.54184 Å.
Lines closer than 0.1° are merged.

Atomic structure:
Lattice parameters (Å, degrees): 6.0912 6.0912 8.0540 90.00 90.00 120.00
Atoms (fractional coordinates):
1 Ba 0.0000 0.0000 0.0000
2 Ba 0.3333 0.6667 0.6363
3 Ba 0.6667 0.3333 0.3637
4 Np 0.0000 0.0000 0.5000
5 Cd 0.3333 0.6667 0.1863
6 Cd 0.6667 0.3333 0.8137
7 O 0.1583 0.3166 0.3478
8 O 0.1583 0.8417 0.3478
9 O 0.3166 0.1583 0.6522
10 O 0.3333 0.6667 0.9331
11 O 0.6667 0.3333 0.0669
12 O 0.6834 0.8417 0.3478
13 O 0.8417 0.1583 0.6522
14 O 0.8417 0.6834 0.6522

Top 10 peaks for 10 to 80 degrees two-theta, in order of falling intensity:
| 2theta | d/Å | I/Imax |
| --- | --- | --- |
| 29.33 | 3.046 | 1000 |
| 27.87 | 3.201 | 922 |
| 40.90 | 2.206 | 440 |
| 51.12 | 1.787 | 353 |
| 48.39 | 1.881 | 262 |
| 57.59 | 1.600 | 201 |
| 52.01 | 1.758 | 200 |
| 10.99 | 8.054 | 190 |
| 68.20 | 1.375 | 175 |
| 65.93 | 1.417 | 169 |